Diffraction record for Th3NiP2N8. The X-ray powder pattern is simulated, not measured: it uses a DFT-relaxed cell (GGA-PBE, Alexandria) and Cu Kα X-rays.
Lines closer than 0.1° are merged.

Most intense lines, 2θ = 15–90°, by intensity:
- 2θ = 33.42°, intensity 100
- 2θ = 23.11°, intensity 97
- 2θ = 32.39°, intensity 94
- 2θ = 47.23°, intensity 42
- 2θ = 59.09°, intensity 35
- 2θ = 41.03°, intensity 35
- 2θ = 52.51°, intensity 29
- 2θ = 53.91°, intensity 23

Cell and atoms:
Lattice parameters (Å, degrees): 5.362 5.362 6.880 90.00 90.00 120.00
Fractional positions:
Th 0.000 0.000 0.000
Th 0.333 0.667 0.660
Th 0.667 0.333 0.340
Ni 0.000 0.000 0.500
P 0.333 0.667 0.213
P 0.667 0.333 0.787
N 0.169 0.338 0.299
N 0.169 0.831 0.299
N 0.333 0.667 0.977
N 0.338 0.169 0.701
N 0.662 0.831 0.299
N 0.667 0.333 0.023
N 0.831 0.169 0.701
N 0.831 0.662 0.701

=====

Diffraction record for PmSm2DyTm. The X-ray powder pattern is simulated, not measured: it uses a DFT-relaxed cell (GGA-PBE, Alexandria) and Cu Kα X-rays.
Lines closer than 0.1° are merged.

Most intense lines, 2θ = 15–90°, by intensity:
- 2θ = 32.62°, intensity 100
- 2θ = 45.60°, intensity 69
- 2θ = 30.98°, intensity 62
- 2θ = 29.13°, intensity 50
- 2θ = 35.69°, intensity 49
- 2θ = 26.18°, intensity 45
- 2θ = 39.72°, intensity 36
- 2θ = 27.93°, intensity 32

Cell and atoms:
Lattice parameters (Å, degrees): 7.148 7.148 7.236 90.00 90.00 107.75
Fractional positions:
Pm 0.226 0.774 0.750
Pm 0.774 0.226 0.250
Sm 0.193 0.193 0.000
Sm 0.193 0.193 0.500
Sm 0.807 0.807 0.000
Sm 0.807 0.807 0.500
Dy 0.231 0.769 0.250
Dy 0.769 0.231 0.750
Tm 0.494 0.506 0.750
Tm 0.506 0.494 0.250

=====

Diffraction record for La2Tb2PmPr2. The X-ray powder pattern is simulated, not measured: it uses a DFT-relaxed cell (GGA-PBE, Alexandria) and Cu Kα X-rays.
Lines closer than 0.1° are merged.

Most intense lines, 2θ = 15–90°, by intensity:
- 2θ = 29.79°, intensity 100
- 2θ = 34.51°, intensity 34
- 2θ = 49.65°, intensity 24
- 2θ = 58.96°, intensity 22
- 2θ = 34.57°, intensity 17
- 2θ = 59.06°, intensity 14
- 2θ = 83.23°, intensity 10
- 2θ = 58.80°, intensity 7

Cell and atoms:
Lattice parameters (Å, degrees): 6.351 6.351 8.238 97.34 97.34 48.23
Fractional positions:
La 0.142 0.142 0.427
La 0.858 0.858 0.573
Tb 0.429 0.429 0.285
Tb 0.571 0.571 0.715
Pm 0.000 0.000 0.000
Pr 0.285 0.285 0.858
Pr 0.715 0.715 0.142

=====

Diffraction record for MoIrPt2. The X-ray powder pattern is simulated, not measured: it uses a DFT-relaxed cell (GGA-PBE, Alexandria) and Cu Kα X-rays.
Lines closer than 0.1° are merged.

Most intense lines, 2θ = 15–90°, by intensity:
- 2θ = 39.56°, intensity 100
- 2θ = 46.28°, intensity 33
- 2θ = 81.19°, intensity 25
- 2θ = 66.89°, intensity 21
- 2θ = 45.46°, intensity 16
- 2θ = 79.99°, intensity 12
- 2θ = 85.20°, intensity 11
- 2θ = 67.53°, intensity 11

Cell and atoms:
Lattice parameters (Å, degrees): 2.774 2.774 7.981 90.00 90.00 90.00
Fractional positions:
Mo 0.000 0.000 0.000
Ir 0.500 0.500 0.772
Pt 0.000 0.000 0.513
Pt 0.500 0.500 0.248

=====

Diffraction record for Pm4Cd3Hg. The X-ray powder pattern is simulated, not measured: it uses a DFT-relaxed cell (GGA-PBE, Alexandria) and Cu Kα X-rays.
Lines closer than 0.1° are merged.

Most intense lines, 2θ = 15–90°, by intensity:
- 2θ = 31.28°, intensity 100
- 2θ = 33.97°, intensity 67
- 2θ = 37.52°, intensity 47
- 2θ = 35.97°, intensity 41
- 2θ = 32.78°, intensity 39
- 2θ = 49.45°, intensity 25
- 2θ = 62.01°, intensity 23
- 2θ = 69.97°, intensity 19

Cell and atoms:
Lattice parameters (Å, degrees): 3.634 4.993 12.433 90.00 90.00 90.00
Fractional positions:
Pm 0.000 0.000 0.000
Pm 0.000 0.500 0.310
Pm 0.500 0.000 0.497
Pm 0.500 0.500 0.814
Cd 0.000 0.000 0.727
Cd 0.000 0.500 0.584
Cd 0.500 0.500 0.083
Hg 0.500 0.000 0.230

=====

Diffraction record for Ga2Se3S2. The X-ray powder pattern is simulated, not measured: it uses a DFT-relaxed cell (GGA-PBE, Alexandria) and Cu Kα X-rays.
Lines closer than 0.1° are merged.

Most intense lines, 2θ = 15–90°, by intensity:
- 2θ = 23.72°, intensity 100
- 2θ = 16.55°, intensity 99
- 2θ = 18.21°, intensity 94
- 2θ = 26.15°, intensity 89
- 2θ = 26.36°, intensity 75
- 2θ = 34.19°, intensity 44
- 2θ = 37.68°, intensity 44
- 2θ = 48.11°, intensity 41

Cell and atoms:
Lattice parameters (Å, degrees): 5.239 5.541 7.386 75.73 69.29 88.88
Fractional positions:
Ga 0.000 0.000 0.000
Ga 0.289 0.784 0.576
Se 0.004 0.939 0.349
Se 0.370 0.139 0.688
Se 0.842 0.655 0.879
S 0.653 0.271 0.052
S 0.689 0.614 0.441

=====

Diffraction record for Li2Si3O7. The X-ray powder pattern is simulated, not measured: it uses a DFT-relaxed cell (GGA-PBE, Alexandria) and Cu Kα X-rays.
Lines closer than 0.1° are merged.

Most intense lines, 2θ = 15–90°, by intensity:
- 2θ = 23.66°, intensity 100
- 2θ = 23.11°, intensity 81
- 2θ = 26.86°, intensity 47
- 2θ = 36.39°, intensity 26
- 2θ = 17.11°, intensity 16
- 2θ = 48.07°, intensity 15
- 2θ = 23.23°, intensity 12
- 2θ = 41.65°, intensity 11

Cell and atoms:
Lattice parameters (Å, degrees): 6.067 4.938 19.921 90.00 90.00 90.00
Fractional positions:
Li 0.146 0.057 0.044
Li 0.146 0.057 0.456
Li 0.146 0.443 0.544
Li 0.146 0.443 0.956
Li 0.854 0.557 0.044
Li 0.854 0.557 0.456
Li 0.854 0.943 0.544
Li 0.854 0.943 0.956
Si 0.151 0.577 0.250
Si 0.151 0.923 0.750
Si 0.354 0.552 0.105
Si 0.354 0.552 0.395
Si 0.354 0.948 0.605
Si 0.354 0.948 0.895
Si 0.646 0.052 0.105
Si 0.646 0.052 0.395
Si 0.646 0.448 0.605
Si 0.646 0.448 0.895
Si 0.849 0.077 0.250
Si 0.849 0.423 0.750
O 0.072 0.608 0.750
O 0.072 0.892 0.250
O 0.162 0.046 0.556
O 0.162 0.046 0.944
O 0.162 0.454 0.056
O 0.162 0.454 0.444
O 0.299 0.513 0.184
O 0.299 0.513 0.316
O 0.299 0.987 0.684
O 0.299 0.987 0.816
O 0.414 0.623 0.591
O 0.414 0.623 0.909
O 0.414 0.877 0.091
O 0.414 0.877 0.409
O 0.586 0.123 0.591
O 0.586 0.123 0.909
O 0.586 0.377 0.091
O 0.586 0.377 0.409
O 0.701 0.013 0.184
O 0.701 0.013 0.316
O 0.701 0.487 0.684
O 0.701 0.487 0.816
O 0.838 0.546 0.556
O 0.838 0.546 0.944
O 0.838 0.954 0.056
O 0.838 0.954 0.444
O 0.928 0.108 0.750
O 0.928 0.392 0.250

=====

Diffraction record for K3As2Au. The X-ray powder pattern is simulated, not measured: it uses a DFT-relaxed cell (GGA-PBE, Alexandria) and Cu Kα X-rays.
Lines closer than 0.1° are merged.

Most intense lines, 2θ = 15–90°, by intensity:
- 2θ = 16.99°, intensity 100
- 2θ = 30.35°, intensity 58
- 2θ = 29.11°, intensity 53
- 2θ = 17.58°, intensity 49
- 2θ = 16.54°, intensity 27
- 2θ = 37.34°, intensity 25
- 2θ = 34.40°, intensity 21
- 2θ = 38.90°, intensity 20

Cell and atoms:
Lattice parameters (Å, degrees): 7.256 7.256 7.738 91.59 91.59 88.10
Fractional positions:
K 0.108 0.892 0.750
K 0.272 0.376 0.984
K 0.376 0.272 0.484
K 0.624 0.728 0.516
K 0.728 0.624 0.016
K 0.892 0.108 0.250
As 0.005 0.438 0.653
As 0.438 0.005 0.153
As 0.562 0.995 0.847
As 0.995 0.562 0.347
Au 0.250 0.750 0.250
Au 0.750 0.250 0.750